Record 1
The following is a simulated X-ray diffraction stick pattern of CsPu4Ni3S12. It was derived from a structure optimized by DFT (GGA-PBE), using Cu Kα.
Kinematic intensities with the Lorentz-polarization factor, no thermal factor.

Cell lengths 9.675, 9.675, 9.675 Å; angles 90.00, 90.00, 90.00 degrees
Space group Im-3 (No. 204)
One atom of each set of equivalent atoms:
1 Cs 0.000 0.000 0.000 [2 per cell]
2 Pu 0.250 0.250 0.250 [8 per cell]
3 Ni 0.000 0.000 0.500 [6 per cell]
4 S 0.000 0.333 0.160 [24 per cell]

Peak list (12 most intense, 10 to 80 degrees two-theta, sorted by position)
d_spacing  Rel. int.
4.837  29
3.420  100
3.059  7
2.793  8
2.419  23
2.163  22
1.975  60
1.710  14
1.530  23
1.458  6
1.396  7
1.293  23

Record 2
The following is a simulated X-ray diffraction stick pattern of Cs2TcNi2S4. It was derived from a structure optimized by DFT (GGA-PBE), using Cu Kα.
Kinematic intensities with the Lorentz-polarization factor, no thermal factor.

Cell lengths 13.292, 3.743, 7.997 Å; angles 90.00, 104.77, 90.00 degrees
Space group C2/m (No. 12)
One atom of each set of equivalent atoms:
1 Cs 0.140 0.000 0.069 [4 per cell]
2 Tc 0.000 0.000 0.500 [2 per cell]
3 Ni 0.168 0.500 0.484 [4 per cell]
4 S 0.014 0.500 0.300 [4 per cell]
5 S 0.191 0.000 0.641 [4 per cell]

Peak list (12 most intense, 10 to 80 degrees two-theta, sorted by position)
d_spacing  Rel. int.
4.419  19
3.866  58
3.593  22
3.278  23
2.855  22
2.804  48
2.731  100
2.516  66
2.142  23
1.871  26
1.761  32
1.736  18

Record 3
The following is a simulated X-ray diffraction stick pattern of CsV2NiS8. It was derived from a structure optimized by DFT (GGA-PBE), using Cu Kα.
Kinematic intensities with the Lorentz-polarization factor, no thermal factor.

Cell lengths 6.0571, 6.0571, 28.3820 Å; angles 90.00, 90.00, 120.00 degrees
Space group R-3 (No. 148, hexagonal axes)
One atom of each set of equivalent atoms:
1 Cs 0.0000 0.0000 0.0000 [3 per cell]
2 V 0.0000 0.0000 0.2335 [6 per cell]
3 Ni 0.0000 0.0000 0.5000 [3 per cell]
4 S 0.0000 0.0000 0.3079 [6 per cell]
5 S 0.0005 0.3059 0.5475 [18 per cell]

Peak list (12 most intense, 10 to 80 degrees two-theta, sorted by position)
d_spacing  Rel. int.
4.218  100
3.154  20
3.029  33
2.939  14
2.884  33
2.551  32
2.496  9
2.460  20
1.909  20
1.864  19
1.749  24
1.529  10

Record 4
The following is a simulated X-ray diffraction stick pattern of Cs2NiSbSe4. It was derived from a structure optimized by DFT (GGA-PBE), using Cu Kα.
Kinematic intensities with the Lorentz-polarization factor, no thermal factor.

Cell lengths 7.067, 12.753, 25.154 Å; angles 90.00, 90.00, 90.00 degrees
Space group Fddd (No. 70, origin choice 2)
One atom of each set of equivalent atoms:
1 Cs 0.125 0.125 0.311 [16 per cell]
2 Ni 0.125 0.125 0.625 [8 per cell]
3 Sb 0.125 0.125 0.125 [8 per cell]
4 Se 0.094 0.313 0.813 [32 per cell]

Peak list (12 most intense, 10 to 80 degrees two-theta, sorted by position)
d_spacing  Rel. int.
6.289  31
5.687  45
3.605  32
3.341  93
3.188  39
3.144  28
2.950  100
2.702  85
2.061  32
2.050  45
1.937  31
1.821  32

Record 5
The following is a simulated X-ray diffraction stick pattern of Cs2Ni3Se4. It was derived from a structure optimized by DFT (GGA-PBE), using Cu Kα.
Kinematic intensities with the Lorentz-polarization factor, no thermal factor.

Cell lengths 6.176, 10.788, 30.506 Å; angles 90.00, 90.00, 90.00 degrees
Space group Fddd (No. 70, origin choice 2)
One atom of each set of equivalent atoms:
1 Cs 0.125 0.125 0.048 [16 per cell]
2 Ni 0.125 0.125 0.375 [16 per cell]
3 Ni 0.125 0.125 0.625 [8 per cell]
4 Se 0.123 0.291 0.575 [32 per cell]

Peak list (12 most intense, 10 to 80 degrees two-theta, sorted by position)
d_spacing  Rel. int.
7.627  83
4.027  61
3.700  53
3.091  100
3.026  50
2.639  51
2.530  67
2.291  41
1.850  32
1.844  67
1.784  30
1.554  37

Record 6
The following is a simulated X-ray diffraction stick pattern of CsNiSe. It was derived from a structure optimized by DFT (GGA-PBE), using Cu Kα.
Kinematic intensities with the Lorentz-polarization factor, no thermal factor.

Cell lengths 4.060, 7.032, 11.993 Å; angles 90.00, 90.00, 90.00 degrees
Space group Cmc2_1 (No. 36)
One atom of each set of equivalent atoms:
1 Cs 0.000 0.167 0.000 [4 per cell]
2 Ni 0.000 0.166 0.273 [4 per cell]
3 Se 0.000 0.499 0.264 [4 per cell]

Peak list (12 most intense, 10 to 80 degrees two-theta, sorted by position)
d_spacing  Rel. int.
3.374  100
3.033  68
2.998  62
2.640  78
2.030  64
1.739  28
1.681  65
1.609  17
1.540  18
1.321  17
1.261  15
1.206  18

Record 7
The following is a simulated X-ray diffraction stick pattern of CsTiNiSe3. It was derived from a structure optimized by DFT (GGA-PBE), using Cu Kα.
Kinematic intensities with the Lorentz-polarization factor, no thermal factor.

Cell lengths 9.350, 3.746, 9.938 Å; angles 90.00, 117.24, 90.00 degrees
Space group P2_1/m (No. 11)
One atom of each set of equivalent atoms:
1 Cs 0.015 0.250 0.256 [2 per cell]
2 Ti 0.469 0.250 0.164 [2 per cell]
3 Ni 0.483 0.750 0.396 [2 per cell]
4 Se 0.271 0.750 0.144 [2 per cell]
5 Se 0.345 0.750 0.552 [2 per cell]
6 Se 0.347 0.250 0.862 [2 per cell]

Peak list (12 most intense, 10 to 80 degrees two-theta, sorted by position)
d_spacing  Rel. int.
8.313  44
3.322  27
3.001  50
2.923  100
2.769  37
2.428  43
2.317  24
2.084  24
1.929  29
1.873  29
1.747  24
1.728  26

Record 8
The following is a simulated X-ray diffraction stick pattern of Cs2ZrNiSe4. It was derived from a structure optimized by DFT (GGA-PBE), using Cu Kα.
Kinematic intensities with the Lorentz-polarization factor, no thermal factor.

Cell lengths 6.075, 14.801, 26.422 Å; angles 90.00, 90.00, 90.00 degrees
Space group Fddd (No. 70, origin choice 2)
One atom of each set of equivalent atoms:
1 Cs 0.125 0.125 0.302 [16 per cell]
2 Zr 0.125 0.125 0.125 [8 per cell]
3 Ni 0.125 0.125 0.625 [8 per cell]
4 Se 0.108 0.281 0.823 [32 per cell]

Peak list (12 most intense, 10 to 80 degrees two-theta, sorted by position)
d_spacing  Rel. int.
6.605  32
3.786  98
3.512  100
3.303  22
3.101  90
2.810  22
2.500  45
2.152  28
2.072  19
1.993  23
1.915  39
1.733  20

Record 9
The following is a simulated X-ray diffraction stick pattern of Cs2Ni3Te4. It was derived from a structure optimized by DFT (GGA-PBE), using Cu Kα.
Kinematic intensities with the Lorentz-polarization factor, no thermal factor.

Cell lengths 6.664, 11.598, 30.693 Å; angles 90.00, 90.00, 90.00 degrees
Space group Fddd (No. 70, origin choice 2)
One atom of each set of equivalent atoms:
1 Cs 0.125 0.125 0.052 [16 per cell]
2 Ni 0.125 0.125 0.376 [16 per cell]
3 Ni 0.125 0.125 0.625 [8 per cell]
4 Te 0.122 0.292 0.572 [32 per cell]

Peak list (12 most intense, 10 to 80 degrees two-theta, sorted by position)
d_spacing  Rel. int.
7.673  53
3.836  54
3.324  100
3.256  54
2.792  41
2.659  60
2.388  49
2.257  28
1.922  21
1.917  67
1.672  30
1.258  23

Record 10
The following is a simulated X-ray diffraction stick pattern of CsThNiTe3. It was derived from a structure optimized by DFT (GGA-PBE), using Cu Kα.
Kinematic intensities with the Lorentz-polarization factor, no thermal factor.

Cell lengths 10.420, 4.397, 10.726 Å; angles 90.00, 111.75, 90.00 degrees
Space group P2_1/m (No. 11)
One atom of each set of equivalent atoms:
1 Cs 0.214 0.250 0.263 [2 per cell]
2 Th 0.308 0.750 0.842 [2 per cell]
3 Ni 0.102 0.250 0.631 [2 per cell]
4 Te 0.113 0.250 0.876 [2 per cell]
5 Te 0.154 0.750 0.533 [2 per cell]
6 Te 0.472 0.750 0.164 [2 per cell]

Peak list (12 most intense, 10 to 80 degrees two-theta, sorted by position)
d_spacing  Rel. int.
8.749  84
3.882  17
3.350  100
3.321  24
3.254  22
2.773  24
2.653  17
2.584  20
2.459  27
2.270  24
2.198  23
1.875  15

Record 11
The following is a simulated X-ray diffraction stick pattern of CsZnNi. It was derived from a structure optimized by DFT (GGA-PBE), using Cu Kα.
Kinematic intensities with the Lorentz-polarization factor, no thermal factor.

Cell lengths 4.130, 5.036, 10.728 Å; angles 90.00, 90.65, 90.00 degrees
Space group Pm (No. 6)
One atom of each set of equivalent atoms:
1 Cs 0.000 0.000 0.000 [1 per cell]
2 Cs 0.490 0.500 0.541 [1 per cell]
3 Zn 0.981 0.500 0.249 [1 per cell]
4 Zn 0.983 0.000 0.316 [1 per cell]
5 Ni 0.481 0.246 0.265 [2 per cell]

Peak list (12 most intense, 10 to 80 degrees two-theta, sorted by position)
d_spacing  Rel. int.
4.559  100
3.869  37
3.839  38
3.576  62
3.193  52
2.916  64
2.755  39
2.733  37
2.684  70
2.111  30
2.106  36
2.064  42

Record 12
The following is a simulated X-ray diffraction stick pattern of Cs2NpPa3O12. It was derived from a structure optimized by DFT (GGA-PBE), using Cu Kα.
Kinematic intensities with the Lorentz-polarization factor, no thermal factor.

Cell lengths 8.0377, 8.0377, 19.8605 Å; angles 90.00, 90.00, 120.00 degrees
Space group R-3m (No. 166, hexagonal axes)
One atom of each set of equivalent atoms:
1 Cs 0.0000 0.0000 0.1189 [6 per cell]
2 Np 0.0000 0.0000 0.5000 [3 per cell]
3 Pa 0.0000 0.5000 0.0000 [9 per cell]
4 O 0.0787 0.5394 0.3568 [18 per cell]
5 O 0.0944 0.5472 0.1084 [18 per cell]

Peak list (12 most intense, 10 to 80 degrees two-theta, sorted by position)
d_spacing  Rel. int.
6.620  14
6.569  39
3.450  40
3.433  100
3.310  18
3.285  64
2.850  13
2.191  38
2.021  30
2.009  29
1.736  18
1.718  18

Record 13
The following is a simulated X-ray diffraction stick pattern of Cs2Pr2NpO6. It was derived from a structure optimized by DFT (GGA-PBE), using Cu Kα.
Kinematic intensities with the Lorentz-polarization factor, no thermal factor.

Cell lengths 6.323, 10.922, 7.357 Å; angles 90.00, 106.09, 90.00 degrees
Space group C2/m (No. 12)
One atom of each set of equivalent atoms:
1 Cs 0.000 0.167 0.000 [4 per cell]
2 Pr 0.000 0.334 0.500 [4 per cell]
3 Np 0.000 0.000 0.500 [2 per cell]
4 O 0.205 0.160 0.658 [8 per cell]
5 O 0.247 0.500 0.658 [4 per cell]

Peak list (12 most intense, 10 to 80 degrees two-theta, sorted by position)
d_spacing  Rel. int.
7.069  64
5.310  35
4.322  21
3.534  70
3.038  41
3.020  81
2.717  100
2.704  47
2.025  37
1.824  30
1.764  31
1.561  20